No. 1
For Li5Fe5Si7O24, a DFT-relaxed cell (PBE+U, the Materials Project) gives the simulated powder diffraction line list in this record (copper Kα).

Peak list (8 most intense, 10° ≤ 2θ ≤ 90°, sorted by position)
| 2θ (°) | I (rel.) |
| --- | --- |
| 18.45 | 15 |
| 21.63 | 18 |
| 21.93 | 22 |
| 24.14 | 36 |
| 24.42 | 60 |
| 24.50 | 100 |
| 24.74 | 26 |
| 45.68 | 13 |

Structure:
a = 7.864 Å, b = 7.946 Å, c = 9.505 Å
α = 89.04°, β = 89.68°, γ = 89.51°
Element x y z (fractional)
Li (0.000, 0.000, 0.000)
Li (0.067, 0.577, 0.731)
Li (0.288, 0.250, 0.275)
Li (0.501, 0.492, 0.253)
Li (0.781, 0.232, 0.978)
Fe (0.095, 0.118, 0.726)
Fe (0.382, 0.175, 0.998)
Fe (0.591, 0.375, 0.524)
Fe (0.875, 0.318, 0.255)
Fe (0.943, 0.610, 0.998)
Si (0.133, 0.822, 0.469)
Si (0.174, 0.423, 0.490)
Si (0.362, 0.587, 0.004)
Si (0.435, 0.873, 0.242)
Si (0.650, 0.670, 0.764)
Si (0.680, 0.068, 0.758)
Si (0.836, 0.902, 0.243)
O (0.076, 0.345, 0.355)
O (0.127, 0.623, 0.524)
O (0.128, 0.336, 0.642)
O (0.137, 0.941, 0.604)
O (0.176, 0.617, 0.935)
O (0.194, 0.100, 0.905)
O (0.309, 0.844, 0.377)
O (0.369, 0.395, 0.434)
O (0.380, 0.398, 0.080)
O (0.381, 0.055, 0.175)
O (0.406, 0.709, 0.140)
O (0.509, 0.617, 0.887)
O (0.580, 0.148, 0.895)
O (0.612, 0.570, 0.623)
O (0.630, 0.872, 0.736)
O (0.636, 0.866, 0.287)
O (0.643, 0.174, 0.616)
O (0.690, 0.404, 0.346)
O (0.844, 0.627, 0.817)
O (0.864, 0.094, 0.184)
O (0.867, 0.412, 0.072)
O (0.877, 0.089, 0.816)
O (0.900, 0.799, 0.105)
O (0.960, 0.857, 0.376)

No. 2
For Li2Fe2Si8O19, a DFT-relaxed cell (PBE+U, the Materials Project) gives the simulated powder diffraction line list in this record (copper Kα).

Peak list (8 most intense, 10° ≤ 2θ ≤ 90°, sorted by position)
| 2θ (°) | I (rel.) |
| --- | --- |
| 13.44 | 40 |
| 16.81 | 68 |
| 19.76 | 92 |
| 25.67 | 70 |
| 26.70 | 47 |
| 27.49 | 100 |
| 28.81 | 33 |
| 30.02 | 43 |

Structure:
a = 7.212 Å, b = 7.212 Å, c = 12.544 Å
α = 107.22°, β = 107.22°, γ = 40.28°
Element x y z (fractional)
Li (0.100, 0.100, 0.139)
Li (0.900, 0.900, 0.861)
Fe (0.026, 0.371, 0.903)
Fe (0.629, 0.974, 0.097)
Si (0.104, 0.336, 0.669)
Si (0.184, 0.798, 0.331)
Si (0.202, 0.816, 0.669)
Si (0.287, 0.579, 0.081)
Si (0.421, 0.713, 0.919)
Si (0.559, 0.199, 0.573)
Si (0.664, 0.896, 0.331)
Si (0.801, 0.441, 0.427)
O (0.032, 0.606, 0.043)
O (0.073, 0.094, 0.398)
O (0.199, 0.044, 0.673)
O (0.214, 0.785, 0.797)
O (0.215, 0.786, 0.203)
O (0.228, 0.772, 0.000)
O (0.394, 0.968, 0.957)
O (0.399, 0.213, 0.648)
O (0.462, 0.006, 0.213)
O (0.469, 0.497, 0.608)
O (0.491, 0.143, 0.438)
O (0.503, 0.531, 0.392)
O (0.610, 0.258, 0.083)
O (0.742, 0.390, 0.917)
O (0.787, 0.601, 0.352)
O (0.857, 0.509, 0.562)
O (0.906, 0.927, 0.602)
O (0.956, 0.801, 0.327)
O (0.994, 0.538, 0.787)

No. 3
For LiFeSiO4, a DFT-relaxed cell (PBE+U, the Materials Project) gives the simulated powder diffraction line list in this record (copper Kα).

Peak list (8 most intense, 10° ≤ 2θ ≤ 90°, sorted by position)
| 2θ (°) | I (rel.) |
| --- | --- |
| 20.10 | 96 |
| 21.20 | 96 |
| 23.21 | 100 |
| 33.79 | 38 |
| 34.52 | 83 |
| 36.51 | 56 |
| 42.01 | 37 |
| 61.84 | 37 |

Structure:
a = 8.230 Å, b = 8.230 Å, c = 8.230 Å
α = 36.81°, β = 36.81°, γ = 36.81°
Element x y z (fractional)
Li (0.134, 0.134, 0.134)
Li (0.866, 0.866, 0.866)
Fe (0.266, 0.266, 0.266)
Fe (0.734, 0.734, 0.734)
Si (0.416, 0.416, 0.416)
Si (0.584, 0.584, 0.584)
O (0.123, 0.465, 0.727)
O (0.273, 0.877, 0.535)
O (0.345, 0.345, 0.345)
O (0.465, 0.727, 0.123)
O (0.535, 0.273, 0.877)
O (0.655, 0.655, 0.655)
O (0.727, 0.123, 0.465)
O (0.877, 0.535, 0.273)

No. 4
For Li2FeSiO4, a DFT-relaxed cell (PBE+U, the Materials Project) gives the simulated powder diffraction line list in this record (copper Kα).

Peak list (8 most intense, 10° ≤ 2θ ≤ 90°, sorted by position)
| 2θ (°) | I (rel.) |
| --- | --- |
| 13.90 | 100 |
| 21.14 | 44 |
| 22.28 | 35 |
| 27.96 | 56 |
| 32.13 | 21 |
| 32.92 | 69 |
| 35.07 | 56 |
| 48.88 | 34 |

Structure:
a = 6.376 Å, b = 5.117 Å, c = 10.902 Å
α = 90.00°, β = 91.66°, γ = 90.00°
Element x y z (fractional)
Li (0.005, 0.200, 0.170)
Li (0.005, 0.300, 0.670)
Li (0.216, 0.198, 0.929)
Li (0.216, 0.302, 0.429)
Li (0.784, 0.698, 0.571)
Li (0.784, 0.802, 0.071)
Li (0.995, 0.700, 0.330)
Li (0.995, 0.800, 0.830)
Fe (0.494, 0.707, 0.343)
Fe (0.494, 0.793, 0.843)
Fe (0.506, 0.207, 0.157)
Fe (0.506, 0.293, 0.657)
Si (0.246, 0.699, 0.090)
Si (0.246, 0.801, 0.590)
Si (0.754, 0.199, 0.410)
Si (0.754, 0.301, 0.910)
O (0.049, 0.686, 0.663)
O (0.049, 0.814, 0.163)
O (0.242, 0.125, 0.589)
O (0.242, 0.375, 0.089)
O (0.246, 0.693, 0.447)
O (0.246, 0.807, 0.947)
O (0.476, 0.710, 0.658)
O (0.476, 0.790, 0.158)
O (0.524, 0.210, 0.842)
O (0.524, 0.290, 0.342)
O (0.754, 0.193, 0.053)
O (0.754, 0.307, 0.553)
O (0.758, 0.625, 0.911)
O (0.758, 0.875, 0.411)
O (0.951, 0.186, 0.837)
O (0.951, 0.314, 0.337)

No. 5
For LiFeSi2O6, a DFT-relaxed cell (PBE+U, the Materials Project) gives the simulated powder diffraction line list in this record (copper Kα).

Peak list (8 most intense, 10° ≤ 2θ ≤ 90°, sorted by position)
| 2θ (°) | I (rel.) |
| --- | --- |
| 14.36 | 100 |
| 25.75 | 46 |
| 26.15 | 42 |
| 29.09 | 38 |
| 31.16 | 60 |
| 31.69 | 67 |
| 37.33 | 42 |
| 51.79 | 36 |

Structure:
a = 7.062 Å, b = 7.419 Å, c = 7.426 Å
α = 80.68°, β = 62.36°, γ = 77.28°
Element x y z (fractional)
Li (0.000, 0.000, 0.000)
Li (0.112, 0.275, 0.255)
Li (0.888, 0.725, 0.745)
Fe (0.442, 0.715, 0.760)
Fe (0.500, 0.000, 0.000)
Fe (0.558, 0.285, 0.240)
Si (0.184, 0.663, 0.252)
Si (0.255, 0.331, 0.786)
Si (0.300, 0.891, 0.474)
Si (0.700, 0.109, 0.526)
Si (0.745, 0.669, 0.214)
Si (0.816, 0.337, 0.748)
O (0.049, 0.334, 0.742)
O (0.135, 0.776, 0.451)
O (0.217, 0.922, 0.710)
O (0.252, 0.182, 0.974)
O (0.259, 0.539, 0.818)
O (0.293, 0.450, 0.265)
O (0.327, 0.790, 0.048)
O (0.355, 0.062, 0.298)
O (0.470, 0.260, 0.569)
O (0.530, 0.740, 0.431)
O (0.645, 0.938, 0.702)
O (0.673, 0.210, 0.952)
O (0.707, 0.550, 0.735)
O (0.741, 0.461, 0.182)
O (0.748, 0.818, 0.026)
O (0.783, 0.078, 0.290)
O (0.865, 0.224, 0.549)
O (0.951, 0.666, 0.258)

No. 6
For LiFeSiO4, a DFT-relaxed cell (PBE+U, the Materials Project) gives the simulated powder diffraction line list in this record (copper Kα).

Peak list (8 most intense, 10° ≤ 2θ ≤ 90°, sorted by position)
| 2θ (°) | I (rel.) |
| --- | --- |
| 15.62 | 33 |
| 21.19 | 30 |
| 21.76 | 100 |
| 22.94 | 18 |
| 27.56 | 17 |
| 31.54 | 31 |
| 34.47 | 29 |
| 61.04 | 17 |

Structure:
a = 5.205 Å, b = 10.173 Å, c = 8.482 Å
α = 90.00°, β = 126.32°, γ = 90.00°
Element x y z (fractional)
Li (0.214, 0.140, 0.019)
Li (0.214, 0.360, 0.519)
Li (0.786, 0.640, 0.481)
Li (0.786, 0.860, 0.981)
Fe (0.004, 0.590, 0.202)
Fe (0.004, 0.910, 0.702)
Fe (0.996, 0.090, 0.298)
Fe (0.996, 0.410, 0.798)
Si (0.298, 0.686, 0.990)
Si (0.298, 0.814, 0.490)
Si (0.702, 0.186, 0.510)
Si (0.702, 0.314, 0.010)
O (0.060, 0.592, 0.796)
O (0.060, 0.908, 0.296)
O (0.142, 0.664, 0.449)
O (0.142, 0.836, 0.949)
O (0.346, 0.623, 0.184)
O (0.346, 0.877, 0.684)
O (0.355, 0.194, 0.473)
O (0.355, 0.306, 0.973)
O (0.645, 0.694, 0.027)
O (0.645, 0.806, 0.527)
O (0.654, 0.123, 0.316)
O (0.654, 0.377, 0.816)
O (0.858, 0.164, 0.051)
O (0.858, 0.336, 0.551)
O (0.940, 0.092, 0.704)
O (0.940, 0.408, 0.204)

No. 7
For LiFeSiO4, a DFT-relaxed cell (PBE+U, the Materials Project) gives the simulated powder diffraction line list in this record (copper Kα).

Peak list (8 most intense, 10° ≤ 2θ ≤ 90°, sorted by position)
| 2θ (°) | I (rel.) |
| --- | --- |
| 21.51 | 100 |
| 22.31 | 97 |
| 27.79 | 21 |
| 32.56 | 43 |
| 33.04 | 24 |
| 34.16 | 22 |
| 35.19 | 33 |
| 58.71 | 23 |

Structure:
a = 10.845 Å, b = 5.101 Å, c = 6.381 Å
α = 90.00°, β = 90.00°, γ = 90.00°
Element x y z (fractional)
Li (0.171, 0.173, 0.000)
Li (0.329, 0.673, 0.500)
Li (0.671, 0.327, 0.000)
Li (0.829, 0.827, 0.500)
Fe (0.085, 0.676, 0.751)
Fe (0.415, 0.176, 0.251)
Fe (0.585, 0.824, 0.751)
Fe (0.915, 0.324, 0.251)
Si (0.165, 0.172, 0.498)
Si (0.335, 0.672, 0.998)
Si (0.665, 0.328, 0.498)
Si (0.835, 0.828, 0.998)
O (0.084, 0.244, 0.285)
O (0.109, 0.309, 0.712)
O (0.164, 0.851, 0.527)
O (0.193, 0.780, 0.969)
O (0.307, 0.280, 0.469)
O (0.336, 0.351, 0.027)
O (0.391, 0.809, 0.212)
O (0.416, 0.744, 0.785)
O (0.584, 0.256, 0.285)
O (0.609, 0.191, 0.712)
O (0.664, 0.649, 0.527)
O (0.693, 0.720, 0.969)
O (0.807, 0.220, 0.469)
O (0.836, 0.149, 0.027)
O (0.891, 0.691, 0.212)
O (0.916, 0.756, 0.785)

No. 8
For LiFeSiO4, a DFT-relaxed cell (PBE+U, the Materials Project) gives the simulated powder diffraction line list in this record (copper Kα).

Peak list (8 most intense, 10° ≤ 2θ ≤ 90°, sorted by position)
| 2θ (°) | I (rel.) |
| --- | --- |
| 21.56 | 100 |
| 21.85 | 62 |
| 21.96 | 58 |
| 27.87 | 22 |
| 31.64 | 35 |
| 34.41 | 30 |
| 35.30 | 37 |
| 36.43 | 22 |

Structure:
a = 5.085 Å, b = 5.213 Å, c = 8.415 Å
α = 90.00°, β = 126.87°, γ = 90.00°
Element x y z (fractional)
Li (0.000, 0.181, 0.000)
Li (0.000, 0.819, 0.500)
Fe (0.501, 0.178, 0.498)
Fe (0.501, 0.822, 0.998)
Si (0.253, 0.315, 0.750)
Si (0.253, 0.685, 0.250)
O (0.206, 0.376, 0.264)
O (0.206, 0.624, 0.764)
O (0.334, 0.164, 0.947)
O (0.334, 0.836, 0.447)
O (0.562, 0.262, 0.739)
O (0.562, 0.738, 0.239)
O (0.921, 0.183, 0.553)
O (0.921, 0.817, 0.053)

No. 9
For Li2Fe2Si2O7, a DFT-relaxed cell (PBE+U, the Materials Project) gives the simulated powder diffraction line list in this record (copper Kα).

Peak list (8 most intense, 10° ≤ 2θ ≤ 90°, sorted by position)
| 2θ (°) | I (rel.) |
| --- | --- |
| 13.28 | 42 |
| 18.53 | 57 |
| 19.95 | 75 |
| 22.87 | 40 |
| 26.75 | 75 |
| 28.38 | 100 |
| 33.25 | 51 |
| 35.72 | 52 |

Structure:
a = 13.332 Å, b = 5.408 Å, c = 5.408 Å
α = 124.61°, β = 90.00°, γ = 90.00°
Element x y z (fractional)
Li (0.000, 0.000, 0.000)
Li (0.250, 0.037, 0.013)
Li (0.500, 0.000, 0.000)
Li (0.750, 0.013, 0.037)
Fe (0.086, 0.671, 0.242)
Fe (0.414, 0.671, 0.242)
Fe (0.586, 0.242, 0.671)
Fe (0.914, 0.242, 0.671)
Si (0.139, 0.352, 0.580)
Si (0.361, 0.352, 0.580)
Si (0.639, 0.580, 0.352)
Si (0.861, 0.580, 0.352)
O (0.059, 0.115, 0.568)
O (0.121, 0.701, 0.885)
O (0.133, 0.344, 0.267)
O (0.250, 0.219, 0.586)
O (0.367, 0.344, 0.267)
O (0.379, 0.701, 0.885)
O (0.441, 0.115, 0.568)
O (0.559, 0.568, 0.115)
O (0.621, 0.885, 0.701)
O (0.633, 0.267, 0.344)
O (0.750, 0.586, 0.219)
O (0.867, 0.267, 0.344)
O (0.879, 0.885, 0.701)
O (0.941, 0.568, 0.115)